Simulated X-ray diffraction stick pattern of Ti5Tc6Sn for copper Kα, from a structure optimized by DFT (PBE).

Crystal structure
Lattice parameters (Å, degrees): 4.4138 6.3139 6.9820 90.00 108.51 90.00
Fractional coordinates of all 12 atoms:
Ti1 0.0000 0.0000 0.0000
Ti2 0.3341 0.0000 0.6683
Ti3 0.3350 0.5000 0.6698
Ti4 0.6650 0.5000 0.3302
Ti5 0.6659 0.0000 0.3317
Tc1 0.1701 0.2470 0.3408
Tc2 0.1701 0.7530 0.3408
Tc3 0.5000 0.2359 0.0000
Tc4 0.5000 0.7641 0.0000
Tc5 0.8299 0.2470 0.6592
Tc6 0.8299 0.7530 0.6592
Sn1 0.0000 0.5000 0.0000

Peak list (10 most intense, 10 to 90 degrees two-theta, low angle first)
- 2θ = 28.27°, I = 4
- 2θ = 28.60°, I = 8
- 2θ = 40.65°, I = 100
- 2θ = 40.89°, I = 49
- 2θ = 58.47°, I = 8
- 2θ = 59.21°, I = 16
- 2θ = 73.81°, I = 16
- 2θ = 74.30°, I = 31
- 2θ = 88.00°, I = 10
- 2θ = 88.63°, I = 5

***

Simulated X-ray diffraction stick pattern of Zr8TcSn2 for copper Kα, from a structure optimized by DFT (PBE).

Crystal structure
Lattice parameters (Å, degrees): 9.4944 9.4944 6.0042 106.23 106.23 28.94
Fractional coordinates of all 11 atoms:
Zr1 0.0219 0.0219 0.2743
Zr2 0.2256 0.2256 0.8348
Zr3 0.3543 0.3543 0.4694
Zr4 0.4132 0.4132 0.0123
Zr5 0.5868 0.5868 0.9877
Zr6 0.6457 0.6457 0.5306
Zr7 0.7744 0.7744 0.1652
Zr8 0.9781 0.9781 0.7257
Tc1 0.5000 0.5000 0.5000
Sn1 0.1823 0.1823 0.2721
Sn2 0.8177 0.8177 0.7279

Peak list (10 most intense, 10 to 90 degrees two-theta, low angle first)
- 2θ = 31.09°, I = 12
- 2θ = 31.64°, I = 51
- 2θ = 35.60°, I = 100
- 2θ = 37.92°, I = 56
- 2θ = 38.23°, I = 35
- 2θ = 38.61°, I = 16
- 2θ = 39.58°, I = 53
- 2θ = 54.96°, I = 15
- 2θ = 67.00°, I = 15
- 2θ = 72.95°, I = 13

***

Simulated X-ray diffraction stick pattern of ZrTcSn4 for copper Kα, from a structure optimized by DFT (PBE).

Crystal structure
Lattice parameters (Å, degrees): 7.5551 7.5551 7.5551 126.18 126.18 79.59
Fractional coordinates of all 12 atoms:
Zr1 0.0000 0.0000 0.0000
Zr2 0.5000 0.5000 0.0000
Tc1 0.2500 0.2500 0.0000
Tc2 0.7500 0.7500 0.0000
Sn1 0.0137 0.5137 0.8075
Sn2 0.2062 0.0137 0.5000
Sn3 0.2938 0.7938 0.8075
Sn4 0.4863 0.2938 0.5000
Sn5 0.5137 0.7062 0.5000
Sn6 0.7062 0.2062 0.1925
Sn7 0.7938 0.9863 0.5000
Sn8 0.9863 0.4863 0.1925

Peak list (10 most intense, 10 to 90 degrees two-theta, low angle first)
- 2θ = 30.22°, I = 93
- 2θ = 36.09°, I = 59
- 2θ = 37.48°, I = 100
- 2θ = 40.78°, I = 45
- 2θ = 41.77°, I = 73
- 2θ = 63.11°, I = 29
- 2θ = 63.84°, I = 28
- 2θ = 66.33°, I = 34
- 2θ = 79.42°, I = 18
- 2θ = 79.55°, I = 16

***

Simulated X-ray diffraction stick pattern of Zr2TcSn2 for copper Kα, from a structure optimized by DFT (PBE).

Crystal structure
Lattice parameters (Å, degrees): 7.0854 7.0854 4.2177 90.00 90.00 90.00
Fractional coordinates of all 10 atoms:
Zr1 0.1662 0.3338 0.0000
Zr2 0.3338 0.8338 0.0000
Zr3 0.6662 0.1662 0.0000
Zr4 0.8338 0.6662 0.0000
Tc1 0.0000 0.0000 0.5000
Tc2 0.5000 0.5000 0.5000
Sn1 0.1421 0.6421 0.5000
Sn2 0.3579 0.1421 0.5000
Sn3 0.6421 0.8579 0.5000
Sn4 0.8579 0.3579 0.5000

Peak list (10 most intense, 10 to 90 degrees two-theta, low angle first)
- 2θ = 21.06°, I = 10
- 2θ = 33.02°, I = 11
- 2θ = 35.43°, I = 100
- 2θ = 40.25°, I = 36
- 2θ = 42.88°, I = 20
- 2θ = 45.86°, I = 10
- 2θ = 57.95°, I = 11
- 2θ = 60.27°, I = 22
- 2θ = 73.72°, I = 12
- 2θ = 75.73°, I = 15

***

Simulated X-ray diffraction stick pattern of SnTe3 for copper Kα, from a structure optimized by DFT (PBE).

Crystal structure
Lattice parameters (Å, degrees): 8.2242 8.2242 8.2242 149.72 149.72 43.35
Fractional coordinates of all 4 atoms:
Sn1 0.0000 0.0000 0.0000
Te1 0.2500 0.7500 0.5000
Te2 0.5000 0.5000 0.0000
Te3 0.7500 0.2500 0.5000

Peak list (10 most intense, 10 to 90 degrees two-theta, low angle first)
- 2θ = 23.28°, I = 55
- 2θ = 31.70°, I = 100
- 2θ = 42.07°, I = 23
- 2θ = 46.53°, I = 34
- 2θ = 48.63°, I = 30
- 2θ = 65.37°, I = 12
- 2θ = 66.22°, I = 12
- 2θ = 68.75°, I = 11
- 2θ = 70.40°, I = 20
- 2θ = 80.06°, I = 14

***

Simulated X-ray diffraction stick pattern of Sn5Te4 for copper Kα, from a structure optimized by DFT (PBE).

Crystal structure
Lattice parameters (Å, degrees): 9.0393 9.0393 9.0393 93.37 93.37 151.95
Fractional coordinates of all 9 atoms:
Sn1 0.0000 0.0000 0.0000
Sn2 0.3108 0.3859 0.6967
Sn3 0.3859 0.6892 0.0751
Sn4 0.6141 0.3108 0.9249
Sn5 0.6892 0.6141 0.3033
Te1 0.0961 0.2574 0.3535
Te2 0.2574 0.9039 0.1613
Te3 0.7426 0.0961 0.8387
Te4 0.9039 0.7426 0.6465

Peak list (10 most intense, 10 to 90 degrees two-theta, low angle first)
- 2θ = 10.09°, I = 92
- 2θ = 25.91°, I = 100
- 2θ = 29.71°, I = 56
- 2θ = 32.28°, I = 96
- 2θ = 33.11°, I = 89
- 2θ = 36.22°, I = 96
- 2θ = 41.20°, I = 38
- 2θ = 53.29°, I = 49
- 2θ = 62.18°, I = 29
- 2θ = 64.16°, I = 27